Entry 1:
Computed PXRD pattern
Compound: Zn2CdB2O6
Radiation: Cu Ka
Structure: a structure optimized by DFT (GGA-PBE)

Main lines, sorted by position (2θ from 10° to 90°):
| 2theta | Rel. int. | h k l |
| --- | --- | --- |
| 21.13 | 85.9 | 1 -1 0 |
| 28.56 | 93.3 | 0 1 2 |
| 29.04 | 89.6 | 1 0 2 |
| 29.59 | 78.5 | 0 2 1 |
| 30.33 | 65.1 | 2 0 1 |
| 31.02 | 78.4 | 1 2 0 |
| 31.29 | 75.4 | 2 1 0 |
| 36.96 | 52.7 | -2 1 1 |
| 37.18 | 100.0 | 1 -2 1 |
| 42.73 | 33.2 | 2 2 2 |

abc: 6.2538 6.3648 6.7321
angles: 79.50 81.07 83.57
Space group P1 (No. 1)
Unique sites:
Zn  0.0000  0.0000  0.0000 x1
Zn  0.1679  0.5097  0.8147 x1
Zn  0.4939  0.8977  0.0925 x1
Zn  0.7961  0.2085  0.5020 x1
Cd  0.3162  0.4171  0.3020 x1
Cd  0.6259  0.7142  0.5860 x1
B  0.1142  0.8357  0.4296 x1
B  0.3574  0.0913  0.6999 x1
B  0.6196  0.3156  0.9128 x1
B  0.8593  0.5786  0.1734 x1
O  0.1662  0.1975  0.7797 x1
O  0.1889  0.9249  0.2293 x1
O  0.2375  0.6605  0.5274 x1
O  0.4258  0.4282  0.9756 x1
O  0.4362  0.9009  0.8105 x1
O  0.4715  0.1633  0.5101 x1
O  0.6533  0.6592  0.2534 x1
O  0.6963  0.1325  0.0396 x1
O  0.7337  0.3850  0.7238 x1
O  0.9192  0.9116  0.5276 x1
O  0.9593  0.3992  0.2808 x1
O  0.9628  0.6826  0.9896 x1

***

Entry 2:
Computed PXRD pattern
Compound: ZnCdB2O5
Radiation: Cu Ka
Structure: a structure optimized by DFT (GGA-PBE)

Main lines, sorted by position (2θ from 10° to 90°):
| 2theta | Rel. int. | h k l |
| --- | --- | --- |
| 16.78 | 32.4 | 0 1 2 |
| 19.57 | 60.9 | 0 0 4 |
| 29.20 | 69.8 | 0 2 2 |
| 29.70 | 100.0 | 1 0 3 |
| 32.66 | 78.7 | 0 1 6 |
| 32.84 | 91.5 | 1 1 3 |
| 33.93 | 32.3 | 0 2 4 |
| 45.91 | 34.7 | 1 1 7 |
| 49.91 | 26.0 | 1 3 1 |
| 52.33 | 31.9 | 0 1 10 |

abc: 3.4614 6.5008 18.1451
angles: 90.00 90.00 90.00
Space group P2_12_12_1 (No. 19)
Unique sites:
Zn  0.0143  0.1090  0.2884 x4
Cd  0.0916  0.0101  0.9753 x4
B  0.0424  0.1435  0.6172 x4
B  0.1312  0.2104  0.1416 x4
O  0.0075  0.3074  0.2049 x4
O  0.0094  0.3318  0.6538 x4
O  0.0769  0.6267  0.9537 x4
O  0.1032  0.2873  0.0717 x4
O  0.2236  0.9875  0.6572 x4

***

Entry 3:
Computed PXRD pattern
Compound: CdB3Os
Radiation: Cu Ka
Structure: a structure optimized by DFT (GGA-PBE)

Main lines, sorted by position (2θ from 10° to 90°):
| 2theta | Rel. int. | h k l |
| --- | --- | --- |
| 21.33 | 8.8 | 1 0 0 |
| 30.35 | 100.0 | 1 1 0 |
| 43.46 | 22.9 | 2 0 0 |
| 48.90 | 4.1 | 2 1 0 |
| 53.92 | 40.1 | 2 1 1 |
| 63.14 | 14.7 | 2 2 0 |
| 67.46 | 2.1 | 3 0 0 |
| 71.65 | 17.0 | 3 1 0 |
| 79.76 | 5.1 | 2 2 2 |
| 87.67 | 20.7 | 3 2 1 |

abc: 4.1649 4.1649 4.1649
angles: 90.00 90.00 90.00
Space group Pm-3m (No. 221)
Unique sites:
Cd  0.0000  0.0000  0.0000 x1
B  0.0000  0.5000  0.5000 x3
Os  0.5000  0.5000  0.5000 x1

***

Entry 4:
Computed PXRD pattern
Compound: Cd6BPd12
Radiation: Cu Ka
Structure: a structure optimized by DFT (GGA-PBE)

Main lines, sorted by position (2θ from 10° to 90°):
| 2theta | Rel. int. | h k l |
| --- | --- | --- |
| 30.68 | 18.6 | 2 -1 3 |
| 34.47 | 25.1 | 2 2 0 |
| 35.46 | 63.2 | 1 0 4 |
| 36.95 | 100.0 | 1 3 1 |
| 39.90 | 55.2 | 3 1 2 |
| 43.25 | 59.3 | 4 -2 3 |
| 47.21 | 16.1 | 5 -3 2 |
| 50.90 | 19.3 | 1 2 5 |
| 56.55 | 14.6 | 3 2 4 |
| 76.79 | 16.3 | 8 -2 1 |

abc: 10.4084 10.4084 10.5512
angles: 90.00 90.00 120.00
Space group R-3 (No. 148, hexagonal axes)
Unique sites:
Cd  0.0031  0.3967  0.2547 x18
B  0.0000  0.0000  0.0000 x3
Pd  0.0354  0.1691  0.3785 x18
Pd  0.0420  0.8681  0.8697 x18